Simulated XRD peak list
Compound: Gd2Be2SiO7
Radiation: Cu Kα (λ = 1.5418 Å)
Structure: a crystal structure in Alexandria, relaxed with GGA-PBE
No peak broadening, texture or thermal motion is included.

Main lines, in order of falling intensity (2θ = 10–90°):
(hkl)  d (Å)  I/Imax
2 1 1  2.734  100.0
0 0 1  4.840  50.8
2 1 0  3.313  50.4
2 1 2  1.954  42.0
3 1 2  1.684  32.5
2 0 1  2.941  29.2

Atomic structure:
Lattice parameters (Å, degrees): 7.408 7.408 4.840 90.00 90.00 90.00
Fractional positions:
Gd  0.160  0.340  0.006
Gd  0.340  0.840  0.994
Gd  0.660  0.160  0.994
Gd  0.840  0.660  0.006
Be  0.136  0.636  0.539
Be  0.364  0.136  0.461
Be  0.636  0.864  0.461
Be  0.864  0.364  0.539
Si  0.000  0.000  0.500
Si  0.500  0.500  0.500
O  0.000  0.500  0.677
O  0.080  0.836  0.695
O  0.141  0.641  0.210
O  0.164  0.080  0.305
O  0.336  0.580  0.695
O  0.359  0.141  0.790
O  0.420  0.336  0.305
O  0.500  0.000  0.323
O  0.580  0.664  0.305
O  0.641  0.859  0.790
O  0.664  0.420  0.695
O  0.836  0.920  0.305
O  0.859  0.359  0.210
O  0.920  0.164  0.695